Record 1
Diffraction record for SmTh3Hg7. The powder diffractogram is computed, not measured: it uses a GGA-PBE-relaxed structure and Cu Ka.

Top 6 peaks for 10° ≤ 2θ ≤ 90°, by angle:
two_theta	intensity
30.1	42
30.4	48
31.0	100
32.3	84
34.6	69
38.6	57

Structural model:
```
SmTh3Hg7
1.0
1.7605 -11.0697 0.0000
1.7605 11.0697 0.0000
0.0000 0.0000 15.4266
Sm Th Hg
2 6 14
Cartesian
1.7605 10.4855 11.5699 Sm
1.7605 -10.4855 3.8566 Sm
1.7605 8.5288 0.4940 Th
1.7605 8.5288 7.2193 Th
1.7605 5.6693 11.5699 Th
1.7605 -5.6693 3.8566 Th
1.7605 -8.5288 8.2073 Th
1.7605 -8.5288 14.9326 Th
1.7605 5.4765 1.1849 Hg
1.7605 5.4765 6.5284 Hg
1.7605 2.8534 2.3599 Hg
1.7605 2.8534 5.3534 Hg
1.7605 2.4258 11.5699 Hg
1.7605 0.0305 1.4095 Hg
1.7605 0.0305 6.3038 Hg
1.7605 -0.0305 9.1228 Hg
1.7605 -0.0305 14.0171 Hg
1.7605 -2.4258 3.8566 Hg
1.7605 -2.8534 10.0731 Hg
1.7605 -2.8534 13.0667 Hg
1.7605 -5.4765 8.8982 Hg
1.7605 -5.4765 14.2417 Hg
```



Record 2
Diffraction record for Cs4Cd4Pt. The powder diffractogram is computed, not measured: it uses a GGA-PBE-relaxed structure and Cu Ka.

Top 6 peaks for 10° ≤ 2θ ≤ 90°, by angle:
two_theta	intensity
12.7	38
22.8	41
26.2	30
27.9	22
30.8	24
32.4	100

Structural model:
```
Cs4Cd4Pt
1.0
-3.8967 3.8967 7.8357
3.8967 -3.8967 7.8357
3.8967 3.8967 -7.8357
Cs Cd Pt
4 4 1
Cartesian
2.1973 -2.1973 5.6588 Cs
1.6993 1.6993 2.1768 Cs
-2.1973 2.1973 5.6588 Cs
2.1973 2.1973 10.0125 Cs
2.3187 2.3187 -1.5506 Cd
1.5779 -1.5779 9.3862 Cd
1.5779 1.5779 6.2851 Cd
-1.5779 1.5779 9.3862 Cd
0.0000 0.0000 7.8357 Pt
```



Record 3
Diffraction record for PmErPu. The powder diffractogram is computed, not measured: it uses a GGA-PBE-relaxed structure and Cu Ka.

Top 6 peaks for 10° ≤ 2θ ≤ 90°, by angle:
two_theta	intensity
31.7	56
31.8	94
32.1	38
32.7	100
45.8	29
63.7	36

Structural model:
```
PmErPu
1.0
5.4822 -3.4557 0.0000
5.4822 3.4557 0.0000
-2.9032 0.0000 4.8430
Pm Er Pu
2 2 2
Cartesian
5.4822 1.7782 0.0000 Pm
5.4822 -1.7782 0.0000 Pm
-0.0397 0.0000 3.2655 Er
8.1009 0.0000 1.5775 Er
2.8002 0.0000 1.6760 Pu
5.2609 0.0000 3.1670 Pu
```



Record 4
Diffraction record for Sr2CdPtC. The powder diffractogram is computed, not measured: it uses a GGA-PBE-relaxed structure and Cu Ka.

Top 6 peaks for 10° ≤ 2θ ≤ 90°, by angle:
two_theta	intensity
31.8	56
32.1	100
45.6	20
56.8	39
57.4	20
67.1	13

Structural model:
```
Sr2CdPtC
1.0
5.6311 0.0000 0.0000
0.0000 5.6311 0.0000
0.0000 0.0000 3.9072
Sr Cd Pt C
2 1 1 1
Cartesian
0.0000 2.8155 0.0000 Sr
2.8155 0.0000 0.0000 Sr
0.0000 0.0000 1.9536 Cd
2.8155 2.8155 1.9536 Pt
2.8155 2.8155 0.0000 C
```



Record 5
Diffraction record for Tb4Dy2Er7. The powder diffractogram is computed, not measured: it uses a GGA-PBE-relaxed structure and Cu Ka.

Top 6 peaks for 10° ≤ 2θ ≤ 90°, by angle:
two_theta	intensity
27.0	19
30.5	46
32.8	100
36.2	33
51.5	19
52.8	30

Structural model:
```
Tb4Dy2Er7
1.0
6.0084 0.0000 0.0000
-3.0042 5.2035 0.0000
0.0000 0.0000 13.1928
Tb Dy Er
4 2 7
Cartesian
0.0000 0.0000 1.4061 Tb
0.0000 0.0000 11.7868 Tb
0.0000 3.4690 0.0000 Tb
3.0042 1.7345 0.0000 Tb
0.0000 3.4690 6.5964 Dy
3.0042 1.7345 6.5964 Dy
0.0000 0.0000 6.5964 Er
-1.0601 1.8361 9.4210 Er
-1.9442 3.3674 3.7718 Er
2.1201 0.0000 9.4210 Er
1.0601 1.8361 3.7718 Er
3.8883 0.0000 3.7718 Er
1.9442 3.3674 9.4210 Er
```



Record 6
Diffraction record for Sr5PuHg6. The powder diffractogram is computed, not measured: it uses a GGA-PBE-relaxed structure and Cu Ka.

Top 6 peaks for 10° ≤ 2θ ≤ 90°, by angle:
two_theta	intensity
31.9	100
32.0	20
45.8	22
56.9	30
57.0	16
76.0	16

Structural model:
```
Sr5PuHg6
1.0
-2.7940 3.9634 8.4137
2.7940 -3.9634 8.4137
2.7940 3.9634 -8.4137
Sr Pu Hg
5 1 6
Cartesian
0.0000 0.0000 0.0000 Sr
2.7940 0.0000 2.7814 Sr
0.0000 0.0000 5.5724 Sr
0.0000 0.0000 11.2551 Sr
0.0000 3.9634 5.6323 Sr
0.0000 3.9634 0.0000 Pu
2.7940 -1.9039 5.7152 Hg
2.7940 2.1256 0.0000 Hg
0.0000 2.0595 2.6986 Hg
2.7940 1.9039 5.7152 Hg
0.0000 1.8378 8.4137 Hg
0.0000 5.8673 2.6986 Hg
```



Record 7
Diffraction record for RbCu3Cl4. The powder diffractogram is computed, not measured: it uses a GGA-PBE-relaxed structure and Cu Ka.

Top 6 peaks for 10° ≤ 2θ ≤ 90°, by angle:
two_theta	intensity
12.4	36
19.9	62
23.6	100
35.7	23
40.1	38
40.5	24

Structural model:
```
RbCu3Cl4
1.0
7.8218 0.0000 0.0000
0.0000 4.4557 0.0000
-3.2439 0.0000 7.1403
Rb Cu Cl
1 3 4
Cartesian
0.0000 0.0000 0.0000 Rb
1.2371 2.2278 4.6888 Cu
3.9109 2.2278 0.0000 Cu
3.3408 2.2278 2.4514 Cu
-0.7972 2.2278 5.5642 Cl
1.1406 2.2278 2.2607 Cl
3.4373 2.2278 4.8796 Cl
5.3751 2.2278 1.5760 Cl
```



Record 8
Diffraction record for Tm4Bi3Sb. The powder diffractogram is computed, not measured: it uses a GGA-PBE-relaxed structure and Cu Ka.

Top 6 peaks for 10° ≤ 2θ ≤ 90°, by angle:
two_theta	intensity
28.7	100
41.0	78
50.8	28
59.3	13
67.2	37
74.6	27

Structural model:
```
Tm4Bi3Sb
1.0
6.2294 0.0000 0.0000
0.0000 6.2294 0.0000
0.0000 0.0000 6.2294
Tm Bi Sb
4 3 1
Cartesian
0.0000 0.0000 0.0000 Tm
0.0000 3.1147 3.1147 Tm
3.1147 0.0000 3.1147 Tm
3.1147 3.1147 0.0000 Tm
0.0000 0.0000 3.1147 Bi
0.0000 3.1147 0.0000 Bi
3.1147 0.0000 0.0000 Bi
3.1147 3.1147 3.1147 Sb
```



Record 9
Diffraction record for Pr2YAl6. The powder diffractogram is computed, not measured: it uses a GGA-PBE-relaxed structure and Cu Ka.

Top 6 peaks for 10° ≤ 2θ ≤ 90°, by angle:
two_theta	intensity
22.3	55
33.0	100
39.2	43
52.2	27
64.6	19
67.2	25

Structural model:
```
Pr2YAl6
1.0
7.9576 0.0000 0.0000
-3.9788 6.8915 0.0000
0.0000 0.0000 3.7101
Pr Y Al
2 1 6
Cartesian
0.0000 4.5943 0.0000 Pr
3.9788 2.2972 0.0000 Pr
0.0000 0.0000 0.0000 Y
-1.3168 2.2808 1.8550 Al
-2.6620 4.6107 1.8550 Al
2.6337 0.0000 1.8550 Al
1.3168 2.2808 1.8550 Al
5.3239 0.0000 1.8550 Al
2.6620 4.6107 1.8550 Al
```



Record 10
Diffraction record for CsAsCl4. The powder diffractogram is computed, not measured: it uses a GGA-PBE-relaxed structure and Cu Ka.

Top 6 peaks for 10° ≤ 2θ ≤ 90°, by angle:
two_theta	intensity
17.4	52
21.3	66
24.6	100
29.4	51
35.3	74
50.5	50

Structural model:
```
CsAsCl4
1.0
2.5666 -10.1828 0.0000
2.5666 10.1828 0.0000
0.0000 0.0000 7.6755
Cs As Cl
2 2 8
Cartesian
2.5666 8.3320 5.7566 Cs
2.5666 -8.3320 1.9189 Cs
2.5666 2.0719 5.7566 As
2.5666 -2.0719 1.9189 As
2.5666 8.3674 1.9189 Cl
2.5666 3.6179 4.0755 Cl
2.5666 3.6179 7.4377 Cl
2.5666 0.0000 0.0000 Cl
2.5666 0.0000 3.8377 Cl
2.5666 -3.6179 0.2378 Cl
2.5666 -3.6179 3.5999 Cl
2.5666 -8.3674 5.7566 Cl
```



Record 11
Diffraction record for SrAl6Zn12. The powder diffractogram is computed, not measured: it uses a GGA-PBE-relaxed structure and Cu Ka.

Top 6 peaks for 10° ≤ 2θ ≤ 90°, by angle:
two_theta	intensity
33.1	61
34.2	100
40.1	34
41.0	27
44.6	28
50.3	41

Structural model:
```
SrAl6Zn12
1.0
5.6983 3.2899 3.0749
-5.6983 3.2899 3.0749
0.0000 -6.5798 3.0749
Sr Al Zn
1 6 12
Cartesian
0.0000 0.0000 0.0000 Sr
-2.3319 -1.3464 5.1921 Al
0.0000 -2.6927 4.0325 Al
-2.3319 1.3463 4.0325 Al
2.3320 -1.3464 5.1921 Al
0.0000 2.6927 5.1921 Al
2.3319 1.3464 4.0325 Al
-2.2352 -3.8715 4.6123 Zn
-4.4704 0.0000 4.6123 Zn
-1.4056 -0.8115 2.7081 Zn
1.4056 -0.8115 2.7081 Zn
0.0000 1.6231 2.7081 Zn
2.2352 -3.8715 4.6123 Zn
-2.2352 3.8715 4.6123 Zn
0.0000 -1.6231 6.5165 Zn
-1.4056 0.8115 6.5165 Zn
1.4056 0.8115 6.5165 Zn
4.4704 0.0000 4.6123 Zn
2.2352 3.8715 4.6123 Zn
```



Record 12
Diffraction record for TmMg14In. The powder diffractogram is computed, not measured: it uses a GGA-PBE-relaxed structure and Cu Ka.

Top 6 peaks for 10° ≤ 2θ ≤ 90°, by angle:
two_theta	intensity
10.3	49
18.9	28
21.6	41
34.1	100
38.4	36
66.7	27

Structural model:
```
TmMg14In
1.0
6.6319 0.0000 0.0000
0.0000 6.6319 0.0000
0.0000 0.0000 8.6236
Tm Mg In
1 14 1
Cartesian
0.0000 0.0000 0.0000 Tm
0.0000 0.0000 4.3118 Mg
0.0000 3.3160 0.0000 Mg
0.0000 3.3160 4.3118 Mg
1.6650 1.6650 2.2042 Mg
1.6650 1.6650 6.4195 Mg
1.6650 4.9669 2.2042 Mg
1.6650 4.9669 6.4195 Mg
3.3160 0.0000 0.0000 Mg
3.3160 0.0000 4.3118 Mg
3.3160 3.3160 4.3118 Mg
4.9669 1.6650 2.2042 Mg
4.9669 1.6650 6.4195 Mg
4.9669 4.9669 2.2042 Mg
4.9669 4.9669 6.4195 Mg
3.3160 3.3160 0.0000 In
```



Record 13
Diffraction record for PbSeO4. The powder diffractogram is computed, not measured: it uses a GGA-PBE-relaxed structure and Cu Ka.

Top 6 peaks for 10° ≤ 2θ ≤ 90°, by angle:
two_theta	intensity
18.8	23
22.4	39
28.3	100
30.4	23
37.3	26
43.2	24

Structural model:
```
PbSeO4
1.0
-2.9414 4.2345 3.9646
2.9414 -4.2345 3.9646
2.9414 4.2345 -3.9646
Pb Se O
2 2 8
Cartesian
0.0000 0.0000 0.0000 Pb
0.0000 4.2345 0.0000 Pb
2.9414 2.1172 0.5848 Se
0.0000 2.1172 3.3798 Se
1.5424 2.1172 -0.3638 O
4.3404 2.1172 -0.3638 O
2.9414 0.7074 1.4827 O
0.0000 0.7074 2.4819 O
2.9414 3.5271 1.4827 O
0.0000 3.5271 2.4819 O
-1.3990 2.1172 4.3284 O
1.3990 2.1172 4.3284 O
```